For NaSn3Pb4, the PBE geometry in Alexandria gives the computed PXRD pattern in this record (Cu Kα X-rays).
Kinematic intensities with the Lorentz-polarization factor, no thermal factor.

The 10 most intense peaks (5° ≤ 2θ ≤ 70°), in order of rising 2θ:
9.21 deg, intensity 17, (0 0 1)
27.15 deg, intensity 13, (1 2 1)
31.66 deg, intensity 100, (1 2 2)
35.51 deg, intensity 19, (0 4 0)
37.18 deg, intensity 17, (2 0 0)
37.45 deg, intensity 15, (0 0 4)
52.36 deg, intensity 13, (2 4 0)
61.37 deg, intensity 16, (1 6 2)
63.61 deg, intensity 14, (3 2 2)
63.96 deg, intensity 12, (1 2 6)

Cell and atoms:
a b c (Å): 4.8359 10.1121 9.6066
angles (deg): 90.00 90.00 90.00
Space group Pmmn (No. 59, origin choice 2)
One atom of each set of equivalent atoms:
Na: 0.2500 0.2500 0.1155 (multiplicity 2)
Sn: 0.2500 0.5050 0.8888 (multiplicity 4)
Sn: 0.2500 0.7500 0.1231 (multiplicity 2)
Pb: 0.2500 0.0031 0.3686 (multiplicity 4)
Pb: 0.2500 0.2500 0.6366 (multiplicity 2)
Pb: 0.2500 0.7500 0.6347 (multiplicity 2)